# CePr4Tm10
Theoretical powder diffraction line list, λ = 1.5418 Å (Cu Kα). Input: the PBE geometry in Alexandria.

Largest 10 diffraction maxima, by angle, 10° ≤ 2θ ≤ 80°:
| two_theta | I/Imax |
| --- | --- |
| 25.2 | 30 |
| 27.5 | 55 |
| 31.0 | 55 |
| 31.9 | 91 |
| 32.0 | 100 |
| 33.9 | 47 |
| 34.8 | 33 |
| 41.1 | 71 |
| 53.6 | 32 |
| 68.1 | 34 |

Crystal structure
Unit cell a=8.8483 b=8.8483 c=8.8483 alpha=101.66 beta=101.66 gamma=126.56
Sites, in units of the cell vectors:
Ce  0.0000  0.0000  0.0000
Pr  0.2258  0.2258  0.4515
Pr  0.2258  0.7742  0.0000
Pr  0.7742  0.2258  0.0000
Pr  0.7742  0.7742  0.5485
Tm  0.0895  0.2950  0.7945
Tm  0.2500  0.7500  0.5000
Tm  0.2950  0.0895  0.7945
Tm  0.2950  0.5005  0.2055
Tm  0.4995  0.7050  0.7945
Tm  0.5005  0.2950  0.2055
Tm  0.7050  0.4995  0.7945
Tm  0.7050  0.9105  0.2055
Tm  0.7500  0.2500  0.5000
Tm  0.9105  0.7050  0.2055

# Zn11Ga17Ag
Theoretical powder diffraction line list, λ = 1.5418 Å (Cu Kα). Input: the PBE geometry in Alexandria.

Largest 10 diffraction maxima, by angle, 10° ≤ 2θ ≤ 80°:
| two_theta | I/Imax |
| --- | --- |
| 33.4 | 8 |
| 35.8 | 22 |
| 38.1 | 100 |
| 42.3 | 39 |
| 44.2 | 14 |
| 46.1 | 22 |
| 65.8 | 9 |
| 68.7 | 9 |
| 68.8 | 10 |
| 70.2 | 8 |

Crystal structure
Unit cell a=8.6901 b=8.6901 c=8.6767 alpha=109.50 beta=109.50 gamma=109.42
Sites, in units of the cell vectors:
Zn  0.0000  0.0000  0.0000
Zn  0.2247  0.6081  0.6029
Zn  0.2259  0.4183  0.7932
Zn  0.4147  0.6061  0.4073
Zn  0.4162  0.7971  0.9811
Zn  0.4183  0.2259  0.7932
Zn  0.6061  0.4147  0.4073
Zn  0.6081  0.2247  0.6029
Zn  0.7971  0.4162  0.9811
Zn  0.8001  0.9905  0.1764
Zn  0.9905  0.8001  0.1764
Ga  0.0225  0.3329  0.2106
Ga  0.0260  0.0260  0.5156
Ga  0.1930  0.6097  0.1005
Ga  0.1955  0.9192  0.7970
Ga  0.2861  0.2861  0.4707
Ga  0.2996  0.8840  0.4885
Ga  0.3037  0.3037  0.0716
Ga  0.3329  0.0225  0.2106
Ga  0.6080  0.6080  0.1078
Ga  0.6082  0.9137  0.3772
Ga  0.6095  0.9345  0.7928
Ga  0.6097  0.1930  0.1005
Ga  0.6111  0.6111  0.7820
Ga  0.8840  0.2996  0.4885
Ga  0.9137  0.6082  0.3772
Ga  0.9192  0.1955  0.7970
Ga  0.9345  0.6095  0.7928
Ag  0.8045  0.8045  0.6076

Please write out number 1 again, unchanged.
# CePr4Tm10
Theoretical powder diffraction line list, λ = 1.5418 Å (Cu Kα). Input: the PBE geometry in Alexandria.

Largest 10 diffraction maxima, by angle, 10° ≤ 2θ ≤ 80°:
| two_theta | I/Imax |
| --- | --- |
| 25.2 | 30 |
| 27.5 | 55 |
| 31.0 | 55 |
| 31.9 | 91 |
| 32.0 | 100 |
| 33.9 | 47 |
| 34.8 | 33 |
| 41.1 | 71 |
| 53.6 | 32 |
| 68.1 | 34 |

Crystal structure
Unit cell a=8.8483 b=8.8483 c=8.8483 alpha=101.66 beta=101.66 gamma=126.56
Sites, in units of the cell vectors:
Ce  0.0000  0.0000  0.0000
Pr  0.2258  0.2258  0.4515
Pr  0.2258  0.7742  0.0000
Pr  0.7742  0.2258  0.0000
Pr  0.7742  0.7742  0.5485
Tm  0.0895  0.2950  0.7945
Tm  0.2500  0.7500  0.5000
Tm  0.2950  0.0895  0.7945
Tm  0.2950  0.5005  0.2055
Tm  0.4995  0.7050  0.7945
Tm  0.5005  0.2950  0.2055
Tm  0.7050  0.4995  0.7945
Tm  0.7050  0.9105  0.2055
Tm  0.7500  0.2500  0.5000
Tm  0.9105  0.7050  0.2055